[1]
Calculated powder X-ray diffraction pattern
Compound: LaTa2AgO7
Radiation: Cu Ka
Structure: a DFT-relaxed cell (GGA-PBE, the Materials Project)
No peak broadening, texture or thermal motion is included.

Peak list (12 most intense, 10 to 80 degrees two-theta, in order of rising 2θ)
2θ (°)	Rel. int.
23.1	43
24.4	14
25.9	72
30.7	100
32.4	28
32.7	15
33.4	35
36.4	17
46.4	39
53.4	36
53.9	19
56.7	37

Structural model:
```
data_LaTa2AgO7
_chemical_formula_sum 'La2 Ta4 Ag2 O14'
_cell_length_a 3.910
_cell_length_b 3.910
_cell_length_c 21.888
_cell_angle_alpha 90.00
_cell_angle_beta 90.00
_cell_angle_gamma 90.00
_symmetry_space_group_name_H-M 'I -4 m 2'
_symmetry_Int_Tables_number 119
_symmetry_space_group_name_Hall 'I -4 -2'
loop_
_atom_site_label
_atom_site_fract_x
_atom_site_fract_y
_atom_site_fract_z
La1 0.000 0.000 0.000
Ta1 0.000 0.000 0.396
Ag1 0.000 0.500 0.750
O1 0.000 0.000 0.313
O2 0.000 0.000 0.500
O3 0.000 0.500 0.084
O4 0.000 0.500 0.585
```

[2]
Calculated powder X-ray diffraction pattern
Compound: Al2SiO5
Radiation: Cu Ka
Structure: a DFT-relaxed cell (GGA-PBE, the Materials Project)
No peak broadening, texture or thermal motion is included.

Peak list (12 most intense, 10 to 80 degrees two-theta, in order of rising 2θ)
2θ (°)	Rel. int.
20.2	84
28.3	96
32.8	100
36.0	85
43.2	65
43.4	60
45.3	54
48.2	32
55.7	51
56.8	73
59.2	77
69.6	62

Structural model:
```
data_Al2SiO5
_chemical_formula_sum 'Al8 Si4 O20'
_cell_length_a 9.497
_cell_length_b 4.718
_cell_length_c 6.700
_cell_angle_alpha 90.00
_cell_angle_beta 112.06
_cell_angle_gamma 90.00
_symmetry_space_group_name_H-M 'C 1 2/c 1'
_symmetry_Int_Tables_number 15
loop_
_symmetry_equiv_pos_as_xyz
'x,y,z'
'-x,-y,-z'
'-x,y,-z+1/2'
'x,-y,z+1/2'
'x+1/2,y+1/2,z'
'-x+1/2,-y+1/2,-z'
'-x+1/2,y+1/2,-z+1/2'
'x+1/2,-y+1/2,z+1/2'
loop_
_atom_site_label
_atom_site_fract_x
_atom_site_fract_y
_atom_site_fract_z
Al1 0.133 0.010 0.227
Si1 0.000 0.500 0.000
O1 0.000 0.311 0.750
O2 0.081 0.174 0.452
O3 0.180 0.357 0.146
```

[3]
Calculated powder X-ray diffraction pattern
Compound: Ti2Al
Radiation: Cu Ka
Structure: a DFT-relaxed cell (GGA-PBE, the Materials Project)
No peak broadening, texture or thermal motion is included.

Peak list (10 most intense, 10 to 80 degrees two-theta, in order of rising 2θ)
2θ (°)	Rel. int.
24.4	49
28.3	7
40.4	100
47.8	21
50.1	2
58.5	15
64.4	8
66.2	2
73.5	30
78.8	5

Structural model:
```
data_Ti2Al
_chemical_formula_sum 'Ti8 Al4'
_cell_length_a 6.310
_cell_length_b 6.310
_cell_length_c 6.310
_cell_angle_alpha 90.00
_cell_angle_beta 90.00
_cell_angle_gamma 90.00
_symmetry_space_group_name_H-M 'F -4 3 m'
_symmetry_Int_Tables_number 216
_symmetry_space_group_name_Hall 'F -4 2 3'
loop_
_atom_site_label
_atom_site_fract_x
_atom_site_fract_y
_atom_site_fract_z
Ti1 0.000 0.000 0.000
Ti2 0.250 0.250 0.250
Al1 0.000 0.000 0.500
```

[4]
Calculated powder X-ray diffraction pattern
Compound: Li3CuP2O8
Radiation: Cu Ka
Structure: a DFT-relaxed cell (GGA-PBE, the Materials Project)
No peak broadening, texture or thermal motion is included.

Peak list (12 most intense, 10 to 80 degrees two-theta, in order of rising 2θ)
2θ (°)	Rel. int.
13.3	48
17.4	22
17.7	19
22.0	100
22.2	93
23.9	17
28.3	39
32.0	24
32.2	32
33.4	23
35.3	33
35.8	35

Structural model:
```
data_Li3CuP2O8
_chemical_formula_sum 'Li6 Cu2 P4 O16'
_cell_length_a 6.677
_cell_length_b 5.012
_cell_length_c 10.182
_cell_angle_alpha 90.00
_cell_angle_beta 90.24
_cell_angle_gamma 90.00
_symmetry_space_group_name_H-M 'P 1 c 1'
_symmetry_Int_Tables_number 7
loop_
_symmetry_equiv_pos_as_xyz
'x,y,z'
'x,-y,z+1/2'
loop_
_atom_site_label
_atom_site_fract_x
_atom_site_fract_y
_atom_site_fract_z
Li1 0.000 0.067 0.000
Li2 0.500 0.427 0.313
Li3 0.503 0.070 0.998
Cu1 0.999 0.431 0.306
P1 0.256 0.060 0.743
P2 0.749 0.423 0.558
O1 0.064 0.053 0.315
O2 0.242 0.372 0.760
O3 0.250 0.016 0.098
O4 0.443 0.041 0.314
O5 0.560 0.458 0.996
O6 0.755 0.119 0.550
O7 0.760 0.479 0.205
O8 0.939 0.458 0.987
```